1.
Calculated powder diffractogram of Ge3N4 for Cu Kα, 1.54184 Å, from a DFT-relaxed cell (GGA-PBE, Alexandria).
Intensities are scaled so that the largest is 100.

Principal peaks in the range 5 to 70 degrees two-theta, in order of rising 2θ:
2theta, d_spacing, I/Imax, hkl
18.49, 4.798, 8, 1 1 1
30.42, 2.938, 28, 2 2 0
35.84, 2.506, 100, 3 1 1
37.49, 2.399, 18, 2 2 2
43.56, 2.078, 14, 4 0 0
47.70, 1.906, 1, 3 3 1
54.06, 1.696, 10, 4 2 2
57.64, 1.599, 35, 5 1 1
63.31, 1.469, 40, 4 4 0
66.57, 1.405, 1, 5 3 1

Structural model:
abc: 8.310 8.310 8.310
angles: 90.00 90.00 90.00
Space group Fd-3m (No. 227, origin choice 2)
One atom of each set of equivalent atoms:
Ge: 0.000 0.000 0.000 [16 per cell]
Ge: 0.125 0.125 0.625 [8 per cell]
N: 0.008 0.008 0.242 [32 per cell]

2.
Calculated powder diffractogram of DyTmLu for Cu Kα, 1.54184 Å, from a DFT-relaxed cell (GGA-PBE, Alexandria).
Intensities are scaled so that the largest is 100.

Principal peaks in the range 5 to 70 degrees two-theta, in order of rising 2θ:
2theta, d_spacing, I/Imax, hkl
26.16, 3.407, 7, 0 0 1
32.26, 2.775, 88, 1 0 1
32.41, 2.763, 100, 1 1 0
42.11, 2.146, 13, 1 1 1
46.38, 1.958, 32, 2 0 1
53.82, 1.703, 8, 0 0 2
57.75, 1.597, 53, 3 0 0
64.24, 1.450, 28, 1 1 2
64.51, 1.445, 4, 3 0 1
67.85, 1.381, 12, 2 2 0

Structural model:
abc: 5.5253 5.5253 3.4065
angles: 90.00 90.00 120.00
Space group P-6m2 (No. 187)
One atom of each set of equivalent atoms:
Dy: 0.0000 0.0000 0.0000 [1 per cell]
Tm: 0.6667 0.3333 0.5000 [1 per cell]
Lu: 0.3333 0.6667 0.5000 [1 per cell]

3.
Calculated powder diffractogram of Pm2Dy2YMg2 for Cu Kα, 1.54184 Å, from a DFT-relaxed cell (GGA-PBE, Alexandria).
Intensities are scaled so that the largest is 100.

Principal peaks in the range 5 to 70 degrees two-theta, in order of rising 2θ:
2theta, d_spacing, I/Imax, hkl
10.94, 8.089, 35, 0 0 3
20.08, 4.423, 9, 0 1 2
23.79, 3.740, 12, 1 0 4
26.25, 3.394, 30, 0 1 5
31.96, 2.800, 92, 1 0 7
32.66, 2.742, 100, 1 1 0
34.54, 2.597, 15, 1 1 3
46.35, 1.959, 33, 0 2 7
56.54, 1.628, 29, 0 1 14
57.85, 1.594, 34, 2 1 7
58.28, 1.583, 19, 3 0 0
68.43, 1.371, 12, 2 2 0

Structural model:
abc: 5.4840 5.4840 24.2662
angles: 90.00 90.00 120.00
Space group R-3m (No. 166, hexagonal axes)
One atom of each set of equivalent atoms:
Pm: 0.0000 0.0000 0.1562 [6 per cell]
Dy: 0.0000 0.0000 0.4265 [6 per cell]
Y: 0.0000 0.0000 0.0000 [3 per cell]
Mg: 0.0000 0.0000 0.2905 [6 per cell]

4.
Calculated powder diffractogram of SmGa3Co3 for Cu Kα, 1.54184 Å, from a DFT-relaxed cell (GGA-PBE, Alexandria).
Intensities are scaled so that the largest is 100.

Principal peaks in the range 5 to 70 degrees two-theta, in order of rising 2θ:
2theta, d_spacing, I/Imax, hkl
27.88, 3.201, 43, 2 0 0
31.24, 2.863, 1, 2 1 0
34.31, 2.613, 100, 2 1 1
49.31, 1.848, 9, 2 2 2
53.57, 1.711, 55, 3 2 1
57.60, 1.600, 20, 4 0 0
65.17, 1.431, 15, 4 2 0
68.79, 1.365, 13, 3 3 2

Structural model:
abc: 6.401 6.401 6.401
angles: 90.00 90.00 90.00
Space group Pm-3n (No. 223)
One atom of each set of equivalent atoms:
Sm: 0.000 0.000 0.000 [2 per cell]
Ga: 0.000 0.250 0.500 [6 per cell]
Co: 0.000 0.500 0.250 [6 per cell]